Theoretical X-ray diffraction stick pattern
Compound: ZnCuRe
Radiation: copper Kα
Structure: a DFT-relaxed cell (GGA-PBE, Alexandria)

Atomic structure:
Unit cell a=2.701 b=2.701 c=6.584 alpha=90.00 beta=90.00 gamma=120.00
Sites, in units of the cell vectors:
Zn 0.000 0.000 0.000
Cu 0.333 0.667 0.320
Re 0.667 0.333 0.652

Largest 6 diffraction maxima, sorted by position, 10 to 90 degrees two-theta:
| d (Å) | Position (°2θ) | intensity | hkl |
| --- | --- | --- | --- |
| 6.584 | 13.45 | 48 | 0 0 1 |
| 2.204 | 40.95 | 100 | 0 1 1 |
| 2.195 | 41.13 | 29 | 0 0 3 |
| 1.907 | 47.70 | 62 | 1 0 2 |
| 1.346 | 69.88 | 21 | 0 1 4 |
| 1.150 | 84.18 | 21 | 1 1 3 |